Theoretical powder X-ray diffraction pattern
Compound: NaPuClO2
Radiation: Cu Kα (weighted mean of Kα1 and Kα2)
Structure: DFT lattice parameters and positions (PBE)
Neutral-atom scattering factors, no anomalous dispersion.

a = 7.2437 Å, b = 3.4331 Å, c = 7.5901 Å
α = 90.00°, β = 104.09°, γ = 90.00°
Element x y z (fractional)
Na (0.1684, 0.2500, 0.2194)
Na (0.8316, 0.7500, 0.7806)
Pu (0.3289, 0.2500, 0.8287)
Pu (0.6711, 0.7500, 0.1713)
Cl (0.2456, 0.7500, 0.4963)
Cl (0.7544, 0.2500, 0.5037)
O (0.1627, 0.7500, 0.8793)
O (0.4610, 0.2500, 0.1295)
O (0.5390, 0.7500, 0.8705)
O (0.8373, 0.2500, 0.1207)

Peak list (10 most intense, 2θ from 10° to 90°, sorted by position)
- 2θ 12.02, d = 7.362 Å, I 35, hkl 0 0 1
- 2θ 12.60, d = 7.026 Å, I 34, hkl 1 0 0
- 2θ 15.16, d = 5.842 Å, I 100, hkl 1 0 -1
- 2θ 25.33, d = 3.517 Å, I 33, hkl 2 0 0
- 2θ 28.69, d = 3.111 Å, I 22, hkl 0 1 1
- 2θ 28.95, d = 3.085 Å, I 29, hkl 1 1 0
- 2θ 30.03, d = 2.976 Å, I 21, hkl 1 0 2
- 2θ 32.65, d = 2.742 Å, I 36, hkl 1 1 1
- 2θ 35.93, d = 2.499 Å, I 34, hkl 1 1 -2
- 2θ 36.59, d = 2.456 Å, I 63, hkl 0 0 3